# 1
Starting from the PBE geometry in Alexandria, the powder diffraction line list of DyNpSi4 was calculated for a wavelength of 1.5418 Å.

Main lines, by intensity (10° ≤ 2θ ≤ 90°):
Position (°2θ), I_rel, h k l
36.94, 100, 2 3 1
32.41, 68, 2 1 1
31.60, 67, 1 3 1
23.11, 61, 0 0 1
28.42, 56, 2 3 0
12.17, 53, 0 2 0
22.41, 47, 2 1 0
21.26, 46, 1 3 0
35.68, 41, 1 4 1
12.34, 40, 1 1 0

```
data_DyNpSi4
_chemical_formula_sum 'Dy4 Np4 Si16'
_cell_length_a 8.248
_cell_length_b 14.540
_cell_length_c 3.849
_cell_angle_alpha 90.00
_cell_angle_beta 90.00
_cell_angle_gamma 90.00
_symmetry_space_group_name_H-M 'P b a m'
_symmetry_Int_Tables_number 55
loop_
_symmetry_equiv_pos_as_xyz
'x,y,z'
'-x,-y,-z'
'-x,-y,z'
'x,y,-z'
'x+1/2,-y+1/2,-z'
'-x+1/2,y+1/2,z'
'-x+1/2,y+1/2,-z'
'x+1/2,-y+1/2,z'
loop_
_atom_site_label
_atom_site_fract_x
_atom_site_fract_y
_atom_site_fract_z
Dy1 0.077 0.138 0.000
Np1 0.098 0.433 0.000
Si1 0.004 0.289 0.500
Si2 0.132 0.967 0.500
Si3 0.165 0.580 0.500
Si4 0.216 0.813 0.500
```

# 2
Starting from the PBE geometry in Alexandria, the powder diffraction line list of DyNpSi3 was calculated for a wavelength of 1.5418 Å.

Main lines, by intensity (10° ≤ 2θ ≤ 90°):
Position (°2θ), I_rel, h k l
33.46, 100, 1 3 1
27.01, 70, 0 4 1
33.66, 60, 1 7 0
21.95, 39, 1 1 0
29.18, 28, 0 8 0
52.26, 26, 1 11 1
36.63, 26, 1 5 1
58.47, 25, 1 7 2
52.49, 24, 2 4 1
44.11, 20, 2 0 0

```
data_DyNpSi3
_chemical_formula_sum 'Dy4 Np4 Si12'
_cell_length_a 4.106
_cell_length_b 24.480
_cell_length_c 3.920
_cell_angle_alpha 90.00
_cell_angle_beta 90.00
_cell_angle_gamma 90.00
_symmetry_space_group_name_H-M 'C m c m'
_symmetry_Int_Tables_number 63
_symmetry_space_group_name_Hall '-C 2c 2'
loop_
_atom_site_label
_atom_site_fract_x
_atom_site_fract_y
_atom_site_fract_z
Dy1 0.000 0.202 0.250
Np1 0.000 0.069 0.750
Si1 0.000 0.325 0.250
Si2 0.000 0.382 0.750
Si3 0.000 0.476 0.750
```

# 3
Starting from the PBE geometry in Alexandria, the powder diffraction line list of Dy2O3 was calculated for a wavelength of 1.5418 Å.

Main lines, by intensity (10° ≤ 2θ ≤ 90°):
Position (°2θ), I_rel, h k l
31.87, 100, 3 0 1
28.43, 77, 2 0 2
35.21, 68, 1 1 2
30.42, 47, 1 1 1
60.83, 36, 3 0 5
50.49, 36, 4 1 1
42.15, 32, 1 1 3
28.68, 31, 0 1 1
86.72, 27, 3 2 5
65.22, 27, 3 2 1

```
data_Dy2O3
_chemical_formula_sum 'Dy8 O12'
_cell_length_a 8.891
_cell_length_b 3.325
_cell_length_c 8.868
_cell_angle_alpha 90.00
_cell_angle_beta 90.00
_cell_angle_gamma 90.00
_symmetry_space_group_name_H-M 'P n m a'
_symmetry_Int_Tables_number 62
loop_
_symmetry_equiv_pos_as_xyz
'x,y,z'
'-x,-y,-z'
'-x+1/2,-y,z+1/2'
'x+1/2,y,-z+1/2'
'x+1/2,-y+1/2,-z+1/2'
'-x+1/2,y+1/2,z+1/2'
'-x,y+1/2,-z'
'x,-y+1/2,z'
loop_
_atom_site_label
_atom_site_fract_x
_atom_site_fract_y
_atom_site_fract_z
Dy1 0.004 0.250 0.186
Dy2 0.187 0.250 0.511
O1 0.046 0.750 0.372
O2 0.115 0.250 0.943
O3 0.227 0.750 0.688
```